Computed X-ray powder pattern of K2Cr3O10 for CuKα, from a crystal structure in the Materials Project, relaxed with GGA+U.

Cell and atoms:
a b c (Å): 7.6558 18.2481 9.8386
angles (deg): 90.00 129.92 90.00
Positions (direct):
K  0.0052  0.0907  0.3716
K  0.0052  0.4093  0.8716
K  0.4099  0.1963  0.9361
K  0.4099  0.3037  0.4361
K  0.5901  0.6963  0.5639
K  0.5901  0.8037  0.0639
K  0.9948  0.5907  0.1284
K  0.9948  0.9093  0.6284
Cr  0.0808  0.7205  0.5376
Cr  0.0808  0.7795  0.0376
Cr  0.2453  0.5908  0.8316
Cr  0.2453  0.9092  0.3316
Cr  0.4189  0.5035  0.6569
Cr  0.4189  0.9965  0.1569
Cr  0.5811  0.0035  0.8431
Cr  0.5811  0.4965  0.3431
Cr  0.7547  0.0908  0.6684
Cr  0.7547  0.4092  0.1684
Cr  0.9192  0.2205  0.9624
Cr  0.9192  0.2795  0.4624
O  0.0515  0.6452  0.6447
O  0.0515  0.8548  0.1447
O  0.0964  0.6901  0.3897
O  0.0964  0.8099  0.8897
O  0.1358  0.5688  0.9214
O  0.1358  0.9312  0.4214
O  0.1406  0.2261  0.5549
O  0.1406  0.2739  0.0549
O  0.2134  0.5247  0.4519
O  0.2134  0.9753  0.9519
O  0.3075  0.5103  0.7761
O  0.3075  0.9897  0.2761
O  0.3128  0.7356  0.1899
O  0.3128  0.7644  0.6899
O  0.3745  0.0630  0.7529
O  0.3745  0.4370  0.2529
O  0.4746  0.6375  0.9679
O  0.4746  0.8625  0.4679
O  0.4912  0.5793  0.3290
O  0.4912  0.9207  0.8290
O  0.5088  0.0793  0.1710
O  0.5088  0.4207  0.6710
O  0.5254  0.1375  0.5321
O  0.5254  0.3625  0.0321
O  0.6255  0.5630  0.7471
O  0.6255  0.9370  0.2471
O  0.6872  0.2356  0.3101
O  0.6872  0.2644  0.8101
O  0.6925  0.0103  0.7239
O  0.6925  0.4897  0.2239
O  0.7866  0.0247  0.0481
O  0.7866  0.4753  0.5481
O  0.8594  0.7261  0.9451
O  0.8594  0.7739  0.4451
O  0.8642  0.0688  0.5786
O  0.8642  0.4312  0.0786
O  0.9036  0.1901  0.1103
O  0.9036  0.3099  0.6103
O  0.9485  0.1452  0.8553
O  0.9485  0.3548  0.3553

Peak list (10 most intense, 2θ from 10° to 90°, sorted by position)
| two_theta | intensity | hkl |
| --- | --- | --- |
| 15.24 | 243 | 0 2 1 |
| 15.86 | 333 | 1 1 0 |
| 17.97 | 451 | 1 2 0 |
| 24.96 | 391 | 1 1 1 |
| 25.56 | 1000 | 2 2 -2 |
| 26.39 | 431 | 2 2 -1 |
| 26.65 | 561 | 1 4 -2 |
| 27.14 | 830 | 0 5 1 |
| 27.84 | 482 | 2 3 -2 |
| 28.62 | 462 | 1 3 1 |